1.
For Tb7PmSm3, a structure optimized by DFT (GGA-PBE) gives the calculated powder diffraction line list in this record (Cu Kα (λ = 1.5418 Å)).

Crystal structure
```
Tb7PmSm3
1.0
6.9920 0.0000 0.0000
0.0000 5.5780 0.0000
-3.4677 0.0000 9.4151
Tb Pm Sm
7 1 3
Cartesian
0.0000 0.0000 0.0000
0.0132 2.7890 2.7230
0.0202 2.7890 6.0226
0.0342 0.0000 7.8146
3.4901 0.0000 1.6005
3.5041 2.7890 3.3925
3.5111 2.7890 6.6922
-1.7339 0.0000 4.7076
-1.4982 2.7890 9.4107
1.7621 0.0000 4.7076
5.0225 2.7890 0.0045
```

The 12 most intense peaks (10° ≤ 2θ ≤ 90°), sorted by position:
- 24.77 deg, intensity 10
- 31.39 deg, intensity 49
- 31.66 deg, intensity 100
- 31.89 deg, intensity 31
- 32.09 deg, intensity 52
- 32.74 deg, intensity 52
- 35.77 deg, intensity 16
- 45.87 deg, intensity 23
- 52.34 deg, intensity 12
- 56.94 deg, intensity 20
- 57.61 deg, intensity 14
- 62.73 deg, intensity 14

---

2.
For DyHfO, a structure optimized by DFT (GGA-PBE) gives the calculated powder diffraction line list in this record (Cu Kα (λ = 1.5418 Å)).

Crystal structure
```
DyHfO
1.0
7.9109 0.0000 0.0000
0.0000 5.5354 0.0000
0.0000 0.0000 5.2098
Dy Hf O
4 4 4
Cartesian
1.3233 0.1508 1.3024
1.3233 2.6169 3.9073
6.5876 2.9185 1.3024
6.5876 5.3846 3.9073
3.3013 3.1829 1.3024
3.3013 5.1201 3.9073
4.6096 0.4152 1.3024
4.6096 2.3525 3.9073
2.9908 1.3838 0.0000
2.9908 1.3838 2.6049
4.9201 4.1515 0.0000
4.9201 4.1515 2.6049
```

The 12 most intense peaks (10° ≤ 2θ ≤ 90°), sorted by position:
- 11.18 deg, intensity 31
- 26.05 deg, intensity 9
- 32.35 deg, intensity 20
- 32.71 deg, intensity 100
- 34.43 deg, intensity 30
- 36.77 deg, intensity 19
- 38.55 deg, intensity 8
- 41.71 deg, intensity 18
- 47.96 deg, intensity 17
- 54.91 deg, intensity 8
- 60.59 deg, intensity 17
- 63.73 deg, intensity 9

---

3.
For Sm4SiN2, a structure optimized by DFT (GGA-PBE) gives the calculated powder diffraction line list in this record (Cu Kα (λ = 1.5418 Å)).

Crystal structure
```
Sm4SiN2
1.0
-3.8288 3.8288 3.0300
3.8288 -3.8288 3.0300
3.8288 3.8288 -3.0300
Sm Si N
4 1 2
Cartesian
2.5569 1.1041 0.0000
2.7247 -1.2719 3.0300
1.1041 5.1007 0.0000
1.2719 2.7247 3.0300
0.0000 0.0000 3.0300
3.8288 0.0000 1.5150
0.0000 3.8288 1.5150
```

The 12 most intense peaks (10° ≤ 2θ ≤ 90°), sorted by position:
- 16.37 deg, intensity 17
- 29.48 deg, intensity 22
- 29.97 deg, intensity 100
- 37.13 deg, intensity 15
- 48.10 deg, intensity 19
- 50.57 deg, intensity 8
- 51.46 deg, intensity 11
- 52.60 deg, intensity 21
- 56.89 deg, intensity 6
- 59.62 deg, intensity 8
- 67.68 deg, intensity 12
- 83.06 deg, intensity 7

---

4.
For Na2Nd3TmTe6, a structure optimized by DFT (GGA-PBE) gives the calculated powder diffraction line list in this record (Cu Kα (λ = 1.5418 Å)).

Crystal structure
```
Na2Nd3TmTe6
1.0
3.8683 -6.6918 0.0000
3.8683 6.6918 0.0000
-2.5642 0.0000 7.3555
Na Nd Tm Te
2 3 1 6
Cartesian
3.8683 4.4844 0.0000
3.8683 -4.4844 0.0000
-1.2821 0.0000 3.6778
2.5862 2.2919 3.6778
2.5862 -2.2919 3.6778
3.8683 0.0000 0.0000
0.0423 2.1796 5.5862
1.3648 0.0000 1.8167
0.0423 -2.1796 5.5862
5.1302 2.1796 1.7693
3.8077 0.0000 5.5388
5.1302 -2.1796 1.7693
```

The 12 most intense peaks (10° ≤ 2θ ≤ 90°), sorted by position:
- 13.81 deg, intensity 5
- 28.19 deg, intensity 100
- 40.16 deg, intensity 38
- 40.41 deg, intensity 38
- 49.57 deg, intensity 7
- 50.00 deg, intensity 20
- 58.29 deg, intensity 13
- 65.78 deg, intensity 11
- 65.86 deg, intensity 6
- 66.16 deg, intensity 17
- 72.81 deg, intensity 6
- 73.38 deg, intensity 10

---

5.
For ScPdPt3, a structure optimized by DFT (GGA-PBE) gives the calculated powder diffraction line list in this record (Cu Kα (λ = 1.5418 Å)).

Crystal structure
```
ScPdPt3
1.0
8.7287 -1.4593 0.0000
8.7287 1.4593 0.0000
-0.6919 0.0000 6.5556
Sc Pd Pt
2 2 6
Cartesian
2.8922 0.0000 1.8744
13.8733 0.0000 4.6813
7.3267 0.0000 0.0354
9.4387 0.0000 6.5203
0.1188 0.0000 1.9649
3.0166 0.0000 5.5853
6.4044 0.0000 2.7764
10.3610 0.0000 3.7792
13.7489 0.0000 0.9703
16.6466 0.0000 4.5907
```

The 12 most intense peaks (10° ≤ 2θ ≤ 90°), sorted by position:
- 16.06 deg, intensity 45
- 23.36 deg, intensity 36
- 36.03 deg, intensity 35
- 37.75 deg, intensity 63
- 39.31 deg, intensity 65
- 40.37 deg, intensity 95
- 41.39 deg, intensity 100
- 43.77 deg, intensity 37
- 45.38 deg, intensity 36
- 57.78 deg, intensity 22
- 68.14 deg, intensity 25
- 73.38 deg, intensity 20

---

6.
For Sm2Mg3Hg, a structure optimized by DFT (GGA-PBE) gives the calculated powder diffraction line list in this record (Cu Kα (λ = 1.5418 Å)).

Crystal structure
```
Sm2Mg3Hg
1.0
3.4133 0.0000 0.0000
0.0000 5.1529 0.0000
0.0000 0.0000 8.8929
Sm Mg Hg
2 3 1
Cartesian
0.0000 0.0000 0.0000
0.0000 2.5764 4.2766
1.7067 0.0000 5.8420
1.7067 2.5764 1.3865
1.7067 2.5764 7.3027
1.7067 0.0000 2.9021
```

The 12 most intense peaks (10° ≤ 2θ ≤ 90°), sorted by position:
- 17.21 deg, intensity 11
- 19.93 deg, intensity 39
- 33.06 deg, intensity 100
- 34.89 deg, intensity 67
- 37.52 deg, intensity 10
- 48.83 deg, intensity 33
- 61.31 deg, intensity 11
- 61.45 deg, intensity 22
- 62.49 deg, intensity 8
- 65.61 deg, intensity 8
- 65.68 deg, intensity 14
- 86.92 deg, intensity 7